# 1
Structure and simulated powder diffractogram of Cd2MoRh2 (DFT lattice parameters and positions (PBE); Cu Kα, 1.54184 Å).

Peak list (8 most intense, 10° ≤ 2θ ≤ 90°, in order of falling intensity)
- 37.4 deg, I 100, hkl 2 1 1
- 62.7 deg, I 31, hkl 3 1 2
- 44.0 deg, I 31, hkl 3 1 0
- 42.4 deg, I 23, hkl 0 0 2
- 34.7 deg, I 16, hkl 2 0 1
- 74.3 deg, I 13, hkl 2 1 3
- 83.0 deg, I 12, hkl 5 2 1
- 39.1 deg, I 5, hkl 2 2 0

Atomic structure:
Unit cell a=6.513 b=6.513 c=4.261 alpha=90.00 beta=90.00 gamma=90.00
Space group P4/mbm (No. 127)
Symmetry-distinct sites (fractional):
Cd1 0.166 0.334 0.000 (multiplicity 4)
Mo1 0.000 0.000 0.500 (multiplicity 2)
Rh1 0.141 0.641 0.500 (multiplicity 4)

=====

# 2
Structure and simulated powder diffractogram of Cd4MoRu (DFT lattice parameters and positions (PBE); Cu Kα, 1.54184 Å).

Peak list (8 most intense, 10° ≤ 2θ ≤ 90°, in order of falling intensity)
- 38.8 deg, I 100, hkl 3 1 1
- 40.6 deg, I 45, hkl 2 2 2
- 62.7 deg, I 31, hkl 5 1 1
- 69.0 deg, I 27, hkl 4 4 0
- 32.9 deg, I 23, hkl 2 2 0
- 83.2 deg, I 16, hkl 6 2 2
- 82.0 deg, I 11, hkl 5 3 3
- 20.0 deg, I 10, hkl 1 1 1

Atomic structure:
Unit cell a=7.703 b=7.703 c=7.703 alpha=90.00 beta=90.00 gamma=90.00
Space group F-43m (No. 216)
Symmetry-distinct sites (fractional):
Cd1 0.125 0.125 0.125 (multiplicity 16)
Mo1 0.250 0.250 0.750 (multiplicity 4)
Ru1 0.000 0.000 0.500 (multiplicity 4)

=====

# 3
Structure and simulated powder diffractogram of CdMo2S (DFT lattice parameters and positions (PBE); Cu Kα, 1.54184 Å).

Peak list (8 most intense, 10° ≤ 2θ ≤ 90°, in order of falling intensity)
- 33.5 deg, I 100, hkl 1 1 2
- 50.1 deg, I 56, hkl 2 0 4
- 43.4 deg, I 47, hkl 1 1 6
- 38.4 deg, I 37, hkl 0 0 8
- 26.7 deg, I 28, hkl 1 0 3
- 59.3 deg, I 18, hkl 1 1 10
- 32.9 deg, I 17, hkl 1 0 5
- 77.9 deg, I 16, hkl 2 0 12

Atomic structure:
Unit cell a=3.949 b=3.949 c=18.771 alpha=90.00 beta=90.00 gamma=90.00
Space group I-42d (No. 122)
Symmetry-distinct sites (fractional):
Cd1 0.000 0.000 0.000 (multiplicity 4)
Mo1 0.190 0.250 0.625 (multiplicity 8)
S1 0.000 0.000 0.500 (multiplicity 4)

=====

# 4
Structure and simulated powder diffractogram of CdSiTeMo (DFT lattice parameters and positions (PBE); Cu Kα, 1.54184 Å).

Peak list (8 most intense, 10° ≤ 2θ ≤ 90°, in order of falling intensity)
- 27.9 deg, I 100, hkl 0 1 1
- 39.0 deg, I 92, hkl 1 1 1
- 39.7 deg, I 85, hkl 1 0 -2
- 39.9 deg, I 85, hkl 1 0 3
- 56.3 deg, I 31, hkl 2 0 1
- 22.7 deg, I 29, hkl 0 0 2
- 71.2 deg, I 29, hkl 2 1 4
- 11.3 deg, I 25, hkl 0 0 1

Atomic structure:
Unit cell a=3.269 b=3.269 c=8.172 alpha=78.73 beta=78.53 gamma=89.93
Space group P1 (No. 1)
Symmetry-distinct sites (fractional):
Cd1 0.000 0.000 0.000 (multiplicity 1)
Si1 0.616 0.613 0.770 (multiplicity 1)
Te1 0.803 0.797 0.396 (multiplicity 1)
Mo1 0.197 0.193 0.607 (multiplicity 1)

=====

# 5
Structure and simulated powder diffractogram of TlCdTeMo (DFT lattice parameters and positions (PBE); Cu Kα, 1.54184 Å).

Peak list (8 most intense, 10° ≤ 2θ ≤ 90°, in order of falling intensity)
- 40.4 deg, I 100, hkl 0 1 3
- 32.0 deg, I 96, hkl 1 0 1
- 35.3 deg, I 76, hkl 1 0 2
- 54.8 deg, I 39, hkl 1 1 0
- 30.8 deg, I 33, hkl 1 0 0
- 25.5 deg, I 31, hkl 0 0 3
- 61.9 deg, I 24, hkl 0 1 6
- 16.9 deg, I 23, hkl 0 0 2

Atomic structure:
Unit cell a=3.3523 b=3.3523 c=10.4977 alpha=90.00 beta=90.00 gamma=120.00
Space group P3m1 (No. 156)
Symmetry-distinct sites (fractional):
Tl1 0.0000 0.0000 0.0000 (multiplicity 1)
Cd1 0.3333 0.6667 0.7307 (multiplicity 1)
Te1 0.0000 0.0000 0.3450 (multiplicity 1)
Mo1 0.6667 0.3333 0.5196 (multiplicity 1)

=====

# 6
Structure and simulated powder diffractogram of Ti2Cd2Mo (DFT lattice parameters and positions (PBE); Cu Kα, 1.54184 Å).

Peak list (8 most intense, 10° ≤ 2θ ≤ 90°, in order of falling intensity)
- 36.8 deg, I 100, hkl 1 1 2
- 23.4 deg, I 45, hkl 0 0 4
- 49.9 deg, I 25, hkl 2 0 0
- 38.5 deg, I 20, hkl 1 0 5
- 11.6 deg, I 17, hkl 0 0 2
- 84.9 deg, I 17, hkl 3 1 2
- 55.9 deg, I 16, hkl 2 0 4
- 50.5 deg, I 15, hkl 1 1 6

Atomic structure:
Unit cell a=3.652 b=3.652 c=15.196 alpha=90.00 beta=90.00 gamma=90.00
Space group I4/mmm (No. 139)
Symmetry-distinct sites (fractional):
Ti1 0.000 0.000 0.083 (multiplicity 4)
Cd1 0.000 0.500 0.250 (multiplicity 4)
Mo1 0.000 0.000 0.500 (multiplicity 2)

=====

# 7
Structure and simulated powder diffractogram of ZnCd2Mo (DFT lattice parameters and positions (PBE); Cu Kα, 1.54184 Å).

Peak list (8 most intense, 10° ≤ 2θ ≤ 90°, in order of falling intensity)
- 37.4 deg, I 100, hkl 0 1 2
- 38.4 deg, I 97, hkl 1 1 0
- 41.2 deg, I 42, hkl 0 2 0
- 39.2 deg, I 20, hkl 1 0 1
- 39.4 deg, I 20, hkl 1 0 -2
- 73.2 deg, I 14, hkl 1 3 0
- 72.6 deg, I 13, hkl 0 3 2
- 77.5 deg, I 12, hkl 2 1 1

Atomic structure:
Unit cell a=2.860 b=4.383 c=5.911 alpha=90.00 beta=103.66 gamma=90.00
Space group Pm (No. 6)
Symmetry-distinct sites (fractional):
Zn1 0.000 0.000 0.000 (multiplicity 1)
Cd1 0.148 0.500 0.291 (multiplicity 1)
Cd2 0.777 0.000 0.544 (multiplicity 1)
Mo1 0.416 0.500 0.824 (multiplicity 1)

=====

# 8
Structure and simulated powder diffractogram of ZrCdMo2 (DFT lattice parameters and positions (PBE); Cu Kα, 1.54184 Å).

Peak list (8 most intense, 10° ≤ 2θ ≤ 90°, in order of falling intensity)
- 38.3 deg, I 100, hkl 1 1 2
- 37.9 deg, I 27, hkl 0 2 0
- 37.6 deg, I 23, hkl 0 0 4
- 68.7 deg, I 18, hkl 1 3 2
- 54.4 deg, I 15, hkl 0 2 4
- 68.4 deg, I 11, hkl 1 1 6
- 82.1 deg, I 9, hkl 2 2 4
- 69.8 deg, I 9, hkl 2 2 0

Atomic structure:
Unit cell a=3.272 b=4.753 c=9.562 alpha=90.00 beta=90.00 gamma=90.00
Space group Cmm2 (No. 35)
Symmetry-distinct sites (fractional):
Zr1 0.000 0.000 0.000 (multiplicity 2)
Cd1 0.000 0.500 0.718 (multiplicity 2)
Mo1 0.000 0.000 0.458 (multiplicity 2)
Mo2 0.000 0.500 0.246 (multiplicity 2)

=====

# 9
Structure and simulated powder diffractogram of Nd2CdN (DFT lattice parameters and positions (PBE); Cu Kα, 1.54184 Å).

Peak list (8 most intense, 10° ≤ 2θ ≤ 90°, in order of falling intensity)
- 30.8 deg, I 100, hkl 1 3 0
- 34.8 deg, I 26, hkl 2 0 0
- 29.4 deg, I 23, hkl 0 2 2
- 59.9 deg, I 15, hkl 3 3 0
- 27.0 deg, I 15, hkl 1 2 1
- 46.1 deg, I 13, hkl 2 2 2
- 44.6 deg, I 10, hkl 0 5 1
- 23.9 deg, I 10, hkl 0 0 2

Atomic structure:
Unit cell a=5.160 b=10.558 c=7.445 alpha=90.00 beta=90.00 gamma=90.00
Space group Ima2 (No. 46)
Symmetry-distinct sites (fractional):
Nd1 0.250 0.104 0.000 (multiplicity 4)
Nd2 0.250 0.708 0.811 (multiplicity 4)
Cd1 0.250 0.077 0.543 (multiplicity 4)
N1 0.250 0.615 0.517 (multiplicity 4)

=====

# 10
Structure and simulated powder diffractogram of CdOs2N4O8 (DFT lattice parameters and positions (PBE); Cu Kα, 1.54184 Å).

Peak list (8 most intense, 10° ≤ 2θ ≤ 90°, in order of falling intensity)
- 22.8 deg, I 100, hkl 2 2 0
- 40.0 deg, I 39, hkl 4 2 2
- 13.9 deg, I 35, hkl 1 1 1
- 26.8 deg, I 30, hkl 3 1 1
- 63.1 deg, I 25, hkl 6 4 2
- 46.6 deg, I 20, hkl 4 4 0
- 52.5 deg, I 16, hkl 6 2 0
- 72.7 deg, I 12, hkl 6 6 0

Atomic structure:
Unit cell a=11.033 b=11.033 c=11.033 alpha=90.00 beta=90.00 gamma=90.00
Space group F-43m (No. 216)
Symmetry-distinct sites (fractional):
Cd1 0.000 0.000 0.000 (multiplicity 4)
Os1 0.000 0.000 0.500 (multiplicity 4)
Os2 0.250 0.250 0.750 (multiplicity 4)
N1 0.119 0.119 0.119 (multiplicity 16)
O1 0.090 0.090 0.410 (multiplicity 16)
O2 0.159 0.159 0.841 (multiplicity 16)

=====

# 11
Structure and simulated powder diffractogram of Sc6Cd2NO (DFT lattice parameters and positions (PBE); Cu Kα, 1.54184 Å).

Peak list (8 most intense, 10° ≤ 2θ ≤ 90°, in order of falling intensity)
- 34.8 deg, I 100, hkl 2 2 2
- 40.4 deg, I 62, hkl 4 0 0
- 58.4 deg, I 38, hkl 4 4 0
- 69.8 deg, I 35, hkl 6 2 2
- 28.3 deg, I 35, hkl 2 2 0
- 19.9 deg, I 15, hkl 2 0 0
- 50.0 deg, I 14, hkl 4 2 2
- 73.4 deg, I 12, hkl 4 4 4

Atomic structure:
Unit cell a=8.933 b=8.933 c=8.933 alpha=90.00 beta=90.00 gamma=90.00
Space group Fm-3m (No. 225)
Symmetry-distinct sites (fractional):
Sc1 0.000 0.000 0.248 (multiplicity 24)
Cd1 0.250 0.250 0.250 (multiplicity 8)
N1 0.000 0.000 0.000 (multiplicity 4)
O1 0.000 0.000 0.500 (multiplicity 4)

=====

# 12
Structure and simulated powder diffractogram of PaCdSbN (DFT lattice parameters and positions (PBE); Cu Kα, 1.54184 Å).

Peak list (8 most intense, 10° ≤ 2θ ≤ 90°, in order of falling intensity)
- 27.0 deg, I 100, hkl 1 0 4
- 30.4 deg, I 93, hkl 1 0 7
- 36.7 deg, I 81, hkl 0 1 11
- 44.5 deg, I 70, hkl 1 1 0
- 59.0 deg, I 21, hkl 2 0 11
- 76.8 deg, I 19, hkl 1 2 11
- 54.8 deg, I 18, hkl 0 2 7
- 64.0 deg, I 18, hkl 1 1 18

Atomic structure:
Unit cell a=4.0745 b=4.0745 c=37.4086 alpha=90.00 beta=90.00 gamma=120.00
Space group R-3m (No. 166, hexagonal axes)
Symmetry-distinct sites (fractional):
Pa1 0.0000 0.0000 0.1297 (multiplicity 6)
Cd1 0.0000 0.0000 0.3063 (multiplicity 6)
Sb1 0.0000 0.0000 0.4069 (multiplicity 6)
N1 0.0000 0.0000 0.1886 (multiplicity 6)